For VIr2RuRh2, DFT lattice parameters and positions (GGA-PBE) gives the theoretical powder diffractogram in this record (Cu Ka).

Main lines, in order of rising 2θ (10° ≤ 2θ ≤ 80°):
| h k l | d_spacing | 2θ/deg | I (rel.) |
| --- | --- | --- | --- |
| 1 0 -2 | 2.921 | 30.6 | 32 |
| 0 2 0 | 2.692 | 33.3 | 35 |
| 1 2 0 | 2.354 | 38.2 | 33 |
| 1 2 -1 | 2.265 | 39.8 | 51 |
| 0 0 3 | 2.200 | 41.0 | 100 |
| 2 0 1 | 2.184 | 41.3 | 90 |
| 1 2 1 | 2.172 | 41.6 | 96 |
| 2 0 -2 | 2.097 | 43.1 | 74 |
| 1 2 -2 | 1.980 | 45.8 | 63 |
| 3 2 -1 | 1.391 | 67.3 | 33 |

```
data_VIr2RuRh2
_cell_length_a 4.9017
_cell_length_b 5.3838
_cell_length_c 6.6617
_cell_angle_alpha 90.00
_cell_angle_beta 97.86
_cell_angle_gamma 90.00
_space_group_name_H-M_alt 'P 1 21/m 1'
_space_group_IT_number 11
_space_group_name_Hall '-P 2yb'
loop_
_atom_site_label
_atom_site_type_symbol
_atom_site_fract_x
_atom_site_fract_y
_atom_site_fract_z
V1 V 0.0209 0.2500 0.0070
Ir1 Ir 0.2958 0.2500 0.3466
Ir2 Ir 0.4807 0.7500 0.0029
Ru1 Ru 0.2740 0.7500 0.3360
Rh1 Rh 0.2062 0.0003 0.6900
```